Record 1
Starting from a DFT-relaxed cell (GGA-PBE, the Materials Project), the X-ray diffraction stick pattern of KGeN was calculated for λ = 1.5418 Å (Cu Kα).
Intensities are scaled so that the largest is 100.

Largest 8 diffraction maxima, most intense first, 2θ from 15° to 90°:
h k l	two_theta	d_spacing	intensity
1 0 2	35.72	2.514	100.0
0 0 4	30.48	2.933	37.7
0 0 2	15.11	5.865	30.9
1 0 6	57.62	1.600	28.5
1 1 0	57.36	1.606	22.3
1 1 4	66.35	1.409	22.0
1 0 4	44.91	2.018	21.1
1 0 3	39.76	2.267	18.1

Cell: 3.2125 3.2125 11.7304 Å, 90.00 90.00 120.00°
Space group P6_3mc (No. 186)
One atom of each set of equivalent atoms:
K  0.3333  0.6667  0.0000
Ge  0.0000  0.0000  0.2497
N  0.3333  0.6667  0.3282


Record 2
Starting from a DFT-relaxed cell (GGA-PBE, the Materials Project), the X-ray diffraction stick pattern of KGeN was calculated for λ = 1.5418 Å (Cu Kα).
Intensities are scaled so that the largest is 100.

Largest 8 diffraction maxima, most intense first, 2θ from 15° to 90°:
h k l	two_theta	d_spacing	intensity
1 0 4	38.30	2.350	100.0
0 1 2	33.82	2.651	96.8
0 0 6	30.48	2.932	49.7
0 0 3	15.11	5.865	40.7
0 1 8	53.10	1.725	31.7
1 1 0	57.42	1.605	29.3
1 1 6	66.40	1.408	29.0
1 0 10	62.47	1.487	20.1

Cell: 3.2098 3.2098 17.5947 Å, 90.00 90.00 120.00°
Space group R3m (No. 160, hexagonal axes)
One atom of each set of equivalent atoms:
K  0.0000  0.0000  0.0000
Ge  0.0000  0.0000  0.4997
N  0.0000  0.0000  0.2187


Record 3
Starting from a DFT-relaxed cell (GGA-PBE, the Materials Project), the X-ray diffraction stick pattern of K2Na4Ge2O7 was calculated for λ = 1.5418 Å (Cu Kα).
Intensities are scaled so that the largest is 100.

Largest 8 diffraction maxima, most intense first, 2θ from 15° to 90°:
h k l	two_theta	d_spacing	intensity
1 1 0	17.05	5.199	100.0
1 7 0	27.01	3.301	89.1
1 9 1	40.34	2.236	50.8
1 6 -2	34.59	2.593	48.4
1 2 -1	17.90	4.955	48.1
1 4 -2	31.73	2.820	45.1
1 2 -2	29.92	2.987	43.3
2 3 -1	30.83	2.900	42.6

Cell: 6.0676 29.6063 6.0949 Å, 90.00 119.71 90.00°
Space group P2_1 (No. 4)
One atom of each set of equivalent atoms:
K  0.0204  0.0000  0.3001
K  0.1146  0.3055  0.3525
K  0.1929  0.6063  0.5615
K  0.4479  0.3056  0.0366
Na  0.1611  0.4214  0.1141
Na  0.1829  0.0990  0.1098
Na  0.2084  0.6969  0.9077
Na  0.2225  0.2010  0.7078
Na  0.2614  0.9151  0.7367
Na  0.3384  0.5193  0.3304
Na  0.3580  0.4196  0.7071
Na  0.3986  0.1947  0.2964
Ge  0.1895  0.7542  0.2996
Ge  0.2379  0.8657  0.3120
Ge  0.3205  0.0087  0.9364
Ge  0.4512  0.1097  0.7686
O  0.0131  0.9044  0.3084
O  0.0281  0.9790  0.7792
O  0.0743  0.2372  0.9923
O  0.1139  0.8118  0.3525
O  0.1974  0.7247  0.5570
O  0.2420  0.5918  0.1499
O  0.2531  0.8679  0.0299
O  0.2581  0.0581  0.7247
O  0.2719  0.1382  0.4757
O  0.4128  0.0296  0.2399
O  0.4440  0.4737  0.0687
O  0.4492  0.1442  0.0073
O  0.4587  0.3754  0.4202
O  0.4760  0.7497  0.2922


Record 4
Starting from a DFT-relaxed cell (GGA-PBE, the Materials Project), the X-ray diffraction stick pattern of K3NaSi3Ge2O12 was calculated for λ = 1.5418 Å (Cu Kα).
Intensities are scaled so that the largest is 100.

Largest 8 diffraction maxima, most intense first, 2θ from 15° to 90°:
h k l	two_theta	d_spacing	intensity
1 1 6	31.54	2.837	100.0
3 0 0	34.23	2.619	62.3
1 0 4	19.82	4.480	47.4
2 2 6	47.23	1.924	36.2
1 4 6	59.62	1.551	24.5
1 1 0	19.57	4.537	23.7
0 2 4	27.99	3.188	22.4
2 2 3	41.71	2.166	21.2

Cell: 9.0736 9.0736 21.8108 Å, 90.00 90.00 120.00°
Space group R-3c (No. 167, hexagonal axes)
One atom of each set of equivalent atoms:
K  0.0000  0.3531  0.2500
Na  0.0000  0.0000  0.0000
Si  0.0000  0.2909  0.7500
Ge  0.0000  0.0000  0.1486
O  0.0174  0.1817  0.4098
O  0.0341  0.1982  0.6908


Record 5
Starting from a DFT-relaxed cell (GGA-PBE, the Materials Project), the X-ray diffraction stick pattern of K3Nb3Ge2O13 was calculated for λ = 1.5418 Å (Cu Kα).
Intensities are scaled so that the largest is 100.

Largest 8 diffraction maxima, most intense first, 2θ from 15° to 90°:
h k l	two_theta	d_spacing	intensity
2 1 0	28.91	3.088	100.0
1 1 2	29.42	3.036	76.0
0 0 2	22.41	3.967	47.8
2 0 2	31.43	2.846	38.3
2 1 4	55.02	1.669	32.3
4 1 2	56.60	1.626	30.1
2 1 2	36.89	2.437	27.2
1 1 0	18.81	4.717	26.0

Cell: 9.4337 9.4337 7.9341 Å, 90.00 90.00 120.00°
Space group P-62m (No. 189)
One atom of each set of equivalent atoms:
K  0.0000  0.6002  0.0000
K  0.0000  0.6149  0.5000
Nb  0.0000  0.2323  0.2487
Ge  0.3333  0.6667  0.2772
O  0.0000  0.2130  0.0000
O  0.0000  0.2706  0.5000
O  0.0000  0.8282  0.2722
O  0.1775  0.4749  0.2125
O  0.3333  0.6667  0.5000


Record 6
Starting from a DFT-relaxed cell (GGA-PBE, the Materials Project), the X-ray diffraction stick pattern of KNdGeS4 was calculated for λ = 1.5418 Å (Cu Kα).
Intensities are scaled so that the largest is 100.

Largest 8 diffraction maxima, most intense first, 2θ from 15° to 90°:
h k l	two_theta	d_spacing	intensity
1 1 2	31.67	2.825	100.0
0 1 1	16.81	5.273	94.9
2 2 0	38.80	2.321	87.9
2 1 -2	32.63	2.744	86.8
0 2 0	26.30	3.388	77.1
1 0 -4	41.10	2.196	61.4
2 1 -1	29.92	2.986	47.3
0 1 2	24.95	3.569	44.9

Cell: 6.6696 6.7769 8.7910 Å, 90.00 107.24 90.00°
Space group P2_1 (No. 4)
One atom of each set of equivalent atoms:
K  0.2297  0.0000  0.4336
Nd  0.2721  0.0160  0.9482
Ge  0.2770  0.4843  0.1797
S  0.0758  0.4824  0.3377
S  0.0792  0.4267  0.9299
S  0.4793  0.7467  0.7745
S  0.4788  0.7538  0.2091